Ca2Fe2C3: calculated X-ray powder pattern (Cu Kα (weighted mean of Kα1 and Kα2)), based on DFT lattice parameters and positions (GGA-PBE).
Neutral-atom scattering factors, no anomalous dispersion.

Peak list (10 most intense, 2θ from 5° to 70°, most intense first)
2θ (°), I (rel.)
39.89, 100
37.77, 87
16.90, 82
34.08, 79
29.93, 53
42.00, 42
37.28, 36
54.08, 31
61.94, 27
36.27, 27

Structure:
```
7
Lattice="5.021 -1.696 0.000 5.021 1.696 0.000 -3.508 0.000 5.247" Properties=species:S:1:pos:R:3 pbc="T T T"
Ca -0.486 0.000 1.767
Ca 7.021 0.000 3.479
Fe -0.196 0.000 4.829
Fe 6.731 0.000 0.417
C 2.193 0.000 1.190
C 5.021 0.000 0.000
C 4.342 0.000 4.057
```

CaGa2Tc2C: calculated X-ray powder pattern (Cu Kα (weighted mean of Kα1 and Kα2)), based on DFT lattice parameters and positions (GGA-PBE).
Neutral-atom scattering factors, no anomalous dispersion.

Peak list (10 most intense, 2θ from 5° to 70°, most intense first)
2θ (°), I (rel.)
34.48, 100
43.83, 59
44.32, 59
15.49, 55
38.27, 39
21.51, 20
59.57, 20
63.72, 18
66.76, 13
46.76, 12

Structure:
```
6
Lattice="4.131 0.000 0.000 0.000 4.131 0.000 0.000 0.000 5.721" Properties=species:S:1:pos:R:3 pbc="T T T"
Ca 0.000 0.000 0.000
Ga 2.065 2.065 1.254
Ga 2.065 2.065 4.467
Tc 0.000 2.065 2.861
Tc 2.065 0.000 2.861
C 0.000 0.000 2.861
```

CaPH6CI3: calculated X-ray powder pattern (Cu Kα (weighted mean of Kα1 and Kα2)), based on DFT lattice parameters and positions (GGA-PBE).
Neutral-atom scattering factors, no anomalous dispersion.

Peak list (10 most intense, 2θ from 5° to 70°, most intense first)
2θ (°), I (rel.)
24.24, 100
24.06, 94
30.48, 62
8.77, 49
8.56, 43
36.46, 42
11.46, 40
25.44, 36
23.03, 33
37.76, 33

Structure:
```
48
Lattice="12.023 0.000 0.000 0.000 4.765 0.000 -0.027 0.000 20.157" Properties=species:S:1:pos:R:3 pbc="T T T"
Ca 0.000 0.000 0.000
Ca 1.870 2.382 10.050
Ca 5.548 0.000 11.884
Ca 8.338 2.382 1.917
P 4.045 0.000 3.531
P 4.037 2.382 16.466
P 9.664 0.000 6.370
P 9.827 2.382 13.799
H 2.302 0.893 4.938
H 2.302 3.872 4.938
H 2.650 2.382 16.233
H 3.328 0.000 2.320
H 3.541 0.000 5.867
H 3.959 1.491 18.679
H 3.959 3.273 18.679
H 4.646 1.268 15.844
H 4.646 3.497 15.844
H 4.907 1.121 3.591
H 4.907 3.644 3.591
H 5.494 2.382 18.369
H 8.453 2.382 13.487
H 8.519 0.893 8.281
H 8.519 3.872 8.281
H 8.563 0.000 5.488
H 9.698 1.491 16.006
H 9.698 3.274 16.006
H 10.012 0.000 8.732
H 10.432 1.272 13.163
H 10.432 3.493 13.163
H 10.494 1.122 6.144
H 10.494 3.643 6.144
H 11.240 2.382 15.754
C 2.940 0.000 4.947
C 4.407 2.382 18.222
C 9.126 0.000 8.080
C 10.159 2.382 15.562
I 0.066 0.000 11.171
I 0.683 2.382 7.236
I 1.218 0.000 17.359
I 1.751 2.382 1.207
I 3.545 2.382 12.823
I 3.867 0.000 9.208
I 6.506 0.000 0.896
I 6.943 0.000 14.674
I 7.043 2.382 4.743
I 7.321 2.382 10.822
I 9.962 2.382 19.378
I 10.356 0.000 2.790
```

CaPH6CI3: calculated X-ray powder pattern (Cu Kα (weighted mean of Kα1 and Kα2)), based on DFT lattice parameters and positions (GGA-PBE).
Neutral-atom scattering factors, no anomalous dispersion.

Peak list (10 most intense, 2θ from 5° to 70°, most intense first)
2θ (°), I (rel.)
11.30, 100
26.10, 74
26.95, 72
23.64, 72
10.84, 72
25.01, 70
23.88, 68
25.68, 65
23.08, 59
40.43, 51

Structure:
```
48
Lattice="7.794 0.000 0.000 1.026 8.928 0.000 1.634 0.100 16.329" Properties=species:S:1:pos:R:3 pbc="T T T"
Ca 0.000 0.000 0.000
Ca 2.275 4.651 8.132
Ca 4.916 8.918 0.009
Ca 6.174 4.634 8.138
P 2.652 4.209 2.102
P 4.298 8.784 10.015
P 7.486 8.640 4.776
P 7.974 5.197 12.693
H 0.781 0.484 5.553
H 1.345 4.741 2.178
H 3.070 8.110 9.847
H 2.529 1.324 11.752
H 2.533 2.802 2.213
H 4.354 8.783 12.411
H 3.335 4.576 4.362
H 3.412 0.806 8.972
H 3.119 4.532 0.813
H 3.650 6.005 3.313
H 4.315 1.183 11.713
H 5.337 7.842 9.868
H 4.724 4.563 3.219
H 6.247 8.277 5.354
H 6.997 4.682 14.802
H 6.812 5.004 11.911
H 6.208 0.699 3.786
H 7.719 3.224 14.032
H 8.128 6.589 12.940
H 7.213 1.180 6.503
H 7.957 7.496 4.106
H 8.776 4.445 14.820
H 8.750 8.409 6.784
H 9.081 4.766 11.934
C 3.370 0.630 11.633
C 3.695 4.909 3.380
C 7.857 4.296 14.239
C 7.610 0.273 6.030
I 2.955 8.919 2.524
I 3.574 2.294 15.228
I 4.619 6.906 15.051
I 4.221 4.721 10.638
I 4.236 6.840 6.951
I 4.221 2.516 6.886
I 5.823 2.095 1.372
I 6.883 6.769 1.245
I 7.468 0.205 13.869
I 8.124 6.824 9.435
I 8.146 2.574 9.486
I 8.114 4.693 5.677
```

K2CaZrH16C8O24: calculated X-ray powder pattern (Cu Kα (weighted mean of Kα1 and Kα2)), based on DFT lattice parameters and positions (GGA-PBE).
Neutral-atom scattering factors, no anomalous dispersion.

Peak list (10 most intense, 2θ from 5° to 70°, most intense first)
2θ (°), I (rel.)
15.38, 100
12.53, 99
25.24, 87
31.05, 54
22.68, 50
44.95, 50
38.80, 47
40.37, 35
31.68, 35
38.22, 28

Structure:
```
52
Lattice="-5.760 5.760 4.472 5.760 -5.760 4.472 5.760 5.760 -4.472" Properties=species:S:1:pos:R:3 pbc="T T T"
K 0.000 0.000 0.000
K 0.000 5.760 2.236
Ca 5.760 0.000 2.236
Zr 0.000 0.000 4.472
H 6.890 2.917 -1.999
H 2.938 2.017 -1.178
H 8.706 2.002 -1.045
H 8.668 1.124 0.274
H 1.124 2.851 -0.274
H 2.002 2.813 1.045
H 3.743 -2.822 5.650
H -1.130 2.843 2.473
H 2.917 4.630 1.999
H 2.822 3.743 3.295
H -2.946 3.758 3.427
H 4.636 2.909 4.198
H 2.843 1.130 6.471
H 3.758 2.946 5.517
H 2.017 8.582 1.178
H -2.909 4.636 4.746
C 5.825 2.680 0.348
C 2.543 -0.044 2.689
C 3.217 5.804 -1.783
C 2.680 5.695 -0.348
C 3.080 0.065 4.124
C 5.716 3.217 1.783
C -0.065 3.080 4.820
C 0.044 2.543 6.255
O 5.874 -2.396 2.727
O 9.202 1.795 -0.210
O 5.881 1.454 0.162
O 3.364 -0.114 1.745
O 8.156 0.114 1.745
O 1.795 2.318 0.210
O 5.856 3.607 -0.558
O 1.266 -0.059 2.599
O 4.494 5.818 -1.873
O 1.454 5.639 -0.162
O 4.306 0.121 4.310
O 5.645 2.396 2.727
O -1.803 3.404 2.029
O 3.607 5.663 0.558
O 2.152 0.097 5.030
O 5.701 4.494 1.873
O 2.356 3.957 2.443
O -0.097 2.152 3.914
O 0.059 1.266 6.345
O -3.442 3.965 4.262
O 3.965 3.442 4.682
O -0.121 4.306 4.634
O -2.356 7.563 2.443
O 1.803 8.116 2.029
```

CaMg5P3HCO16: calculated X-ray powder pattern (Cu Kα (weighted mean of Kα1 and Kα2)), based on DFT lattice parameters and positions (GGA-PBE).
Neutral-atom scattering factors, no anomalous dispersion.

Peak list (10 most intense, 2θ from 5° to 70°, most intense first)
2θ (°), I (rel.)
32.70, 100
30.73, 84
31.21, 75
31.77, 62
31.02, 50
27.98, 38
23.93, 37
34.05, 34
27.68, 30
8.27, 29

Structure:
```
54
Lattice="6.373 0.000 0.000 -0.528 8.776 0.000 -2.064 -1.088 10.697" Properties=species:S:1:pos:R:3 pbc="T T T"
Ca 0.486 2.721 0.662
Ca 3.294 4.967 10.035
Mg -1.234 6.467 7.153
Mg 0.101 -0.661 9.633
Mg 0.680 7.102 4.826
Mg 0.603 3.997 6.593
Mg 1.912 5.487 1.952
Mg 1.868 2.201 8.745
Mg 3.177 3.691 4.104
Mg 3.100 0.586 5.871
Mg 3.679 8.349 1.064
Mg 5.014 1.220 3.544
P 0.413 8.301 1.821
P 0.030 0.727 6.517
P 0.089 4.869 9.896
P 3.691 2.819 0.801
P 3.750 6.961 4.180
P 3.367 -0.613 8.876
H 2.311 1.361 3.624
H 1.469 6.327 7.073
C 0.003 3.857 3.612
C 3.777 3.830 7.085
O -1.875 -0.026 9.763
O -1.326 6.714 4.990
O -1.471 4.421 6.822
O 0.248 4.301 2.426
O 0.477 0.813 2.565
O -0.178 -0.352 7.608
O -0.966 3.993 10.649
O -0.682 6.035 9.229
O 0.898 7.170 2.793
O 0.913 3.973 4.526
O 0.533 2.044 7.179
O 1.109 0.231 5.527
O 2.159 -0.072 0.943
O 0.703 6.011 6.555
O 0.663 1.288 10.329
O 0.948 4.121 8.850
O 2.833 3.567 1.847
O 3.117 6.400 0.368
O 3.077 1.677 4.142
O 1.622 7.759 9.754
O 2.671 7.457 5.170
O 3.247 5.644 3.518
O 2.867 3.715 6.171
O 2.883 0.518 7.904
O 4.462 1.652 1.468
O 4.746 3.695 0.048
O 3.958 8.040 3.089
O 3.303 6.875 8.132
O 3.532 3.387 8.272
O 5.251 3.267 3.875
O 5.107 0.974 5.707
O 5.655 7.714 0.934
```